For Dy5N, DFT lattice parameters and positions (GGA-PBE) gives the simulated X-ray powder pattern in this record (λ = 1.5418 Å (Cu Kα)).
No peak broadening, texture or thermal motion is included.

Most intense lines, 2θ = 5–70°, most intense first:
2theta	I_rel
33.6	100.0
34.3	94.8
28.8	83.4
31.1	62.1
54.2	42.7
42.9	29.9
10.0	29.6
66.6	28.0
54.7	25.0
62.5	21.7

Structural model:
Lattice parameters (Å, degrees): 3.301 17.742 6.193 90.00 90.00 90.00
Fractional coordinates of all 12 atoms:
Dy 0.000 0.000 0.000
Dy 0.000 0.092 0.500
Dy 0.000 0.333 0.000
Dy 0.000 0.667 0.000
Dy 0.000 0.908 0.500
Dy 0.500 0.167 0.000
Dy 0.500 0.408 0.500
Dy 0.500 0.500 0.000
Dy 0.500 0.592 0.500
Dy 0.500 0.833 0.000
N 0.000 0.500 0.500
N 0.500 0.000 0.500